Entry 1:
Calculated XRD peak list
Compound: Mg4Si3
Radiation: Cu Kα (weighted mean of Kα1 and Kα2)
Structure: DFT lattice parameters and positions (GGA-PBE)
Lines closer than 0.1° are merged.

Structure:
a b c (Å): 6.143 7.162 7.343
angles (deg): 67.41 88.22 71.63
Sites, in units of the cell vectors:
Mg 0.000 0.000 0.000
Mg 0.070 0.213 0.284
Mg 0.143 0.551 0.905
Mg 0.347 0.729 0.476
Mg 0.448 0.023 0.715
Mg 0.655 0.665 0.130
Mg 0.774 0.889 0.412
Mg 0.856 0.381 0.577
Si 0.028 0.964 0.651
Si 0.083 0.595 0.277
Si 0.405 0.064 0.081
Si 0.482 0.356 0.380
Si 0.623 0.288 0.086
Si 0.687 0.582 0.806

Main lines, most intense first (15 to 90 degrees two-theta):
2theta	Rel. int.	index
31.25	100	2 1 1
37.18	83	-1 2 2
36.15	62	0 2 -1
40.98	57	0 3 2
41.58	56	1 0 -3
44.46	55	2 3 0
38.50	41	2 2 2
36.76	41	0 1 3
45.44	40	1 3 3
35.00	37	1 1 -2

---

Entry 2:
Calculated XRD peak list
Compound: Mg5Si6
Radiation: Cu Kα (weighted mean of Kα1 and Kα2)
Structure: DFT lattice parameters and positions (GGA-PBE)
Lines closer than 0.1° are merged.

Structure:
a b c (Å): 4.631 5.988 16.180
angles (deg): 88.33 86.25 73.50
Sites, in units of the cell vectors:
Mg 0.000 0.000 0.000
Mg 0.014 0.398 0.333
Mg 0.137 0.843 0.822
Mg 0.263 0.847 0.330
Mg 0.311 0.551 0.659
Mg 0.335 0.129 0.134
Mg 0.564 0.387 0.487
Mg 0.673 0.949 0.607
Mg 0.714 0.545 0.913
Mg 0.892 0.688 0.155
Si 0.005 0.229 0.715
Si 0.086 0.220 0.566
Si 0.227 0.827 0.515
Si 0.233 0.388 0.987
Si 0.420 0.646 0.071
Si 0.455 0.511 0.217
Si 0.529 0.137 0.760
Si 0.534 0.055 0.905
Si 0.607 0.118 0.359
Si 0.738 0.660 0.745
Si 0.805 0.770 0.440
Si 0.811 0.130 0.218

Main lines, most intense first (15 to 90 degrees two-theta):
2theta	Rel. int.	index
39.24	100	2 1 1
38.25	50	1 2 4
43.13	44	1 0 7
36.43	44	1 1 -5
32.01	40	1 1 -4
32.75	39	1 -1 3
30.44	38	1 -1 2
31.62	36	0 1 5
33.81	27	-1 1 3
33.38	26	1 2 2

---

Entry 3:
Calculated XRD peak list
Compound: Mg3Si4
Radiation: Cu Kα (weighted mean of Kα1 and Kα2)
Structure: DFT lattice parameters and positions (GGA-PBE)
Lines closer than 0.1° are merged.

Structure:
a b c (Å): 3.724 8.643 9.607
angles (deg): 115.37 90.48 101.68
Sites, in units of the cell vectors:
Mg 0.000 0.000 0.000
Mg 0.092 0.227 0.735
Mg 0.232 0.478 0.377
Mg 0.458 0.923 0.478
Mg 0.678 0.366 0.043
Mg 0.874 0.758 0.655
Si 0.028 0.062 0.316
Si 0.255 0.514 0.672
Si 0.313 0.637 0.195
Si 0.500 0.025 0.797
Si 0.594 0.198 0.243
Si 0.628 0.280 0.524
Si 0.785 0.570 0.849
Si 0.868 0.755 0.125

Main lines, most intense first (15 to 90 degrees two-theta):
2theta	Rel. int.	index
37.79	100	0 2 2
38.00	86	0 1 -4
48.92	72	2 -1 0
37.00	46	1 -3 2
41.35	40	0 3 -4
45.10	38	1 3 -1
33.97	37	1 1 1
32.15	36	0 3 -1
36.47	34	1 2 -2
34.20	32	-1 2 1

---

Entry 4:
Calculated XRD peak list
Compound: Mg5Si6
Radiation: Cu Kα (weighted mean of Kα1 and Kα2)
Structure: DFT lattice parameters and positions (GGA-PBE)
Lines closer than 0.1° are merged.

Structure:
a b c (Å): 5.248 6.355 13.372
angles (deg): 86.83 82.27 78.94
Sites, in units of the cell vectors:
Mg 0.000 0.000 0.000
Mg 0.021 0.088 0.558
Mg 0.189 0.743 0.361
Mg 0.217 0.457 0.881
Mg 0.398 0.305 0.091
Mg 0.490 0.792 0.129
Mg 0.531 0.336 0.475
Mg 0.752 0.237 0.781
Mg 0.849 0.146 0.231
Mg 0.951 0.720 0.720
Si 0.014 0.682 0.151
Si 0.061 0.354 0.397
Si 0.245 0.310 0.691
Si 0.261 0.977 0.802
Si 0.340 0.108 0.283
Si 0.387 0.731 0.550
Si 0.533 0.976 0.935
Si 0.543 0.981 0.642
Si 0.615 0.912 0.408
Si 0.667 0.595 0.908
Si 0.759 0.599 0.305
Si 0.876 0.424 0.053

Main lines, most intense first (15 to 90 degrees two-theta):
2theta	Rel. int.	index
36.07	100	2 0 2
37.30	47	0 1 -5
41.84	46	2 0 4
34.72	40	0 2 3
38.49	30	1 -2 2
31.34	28	0 2 2
43.55	23	2 1 -3
43.75	22	2 2 3
44.23	22	-2 1 2
35.15	21	1 2 3

---

Entry 5:
Calculated XRD peak list
Compound: Mg4Si3
Radiation: Cu Kα (weighted mean of Kα1 and Kα2)
Structure: DFT lattice parameters and positions (GGA-PBE)
Lines closer than 0.1° are merged.

Structure:
a b c (Å): 5.622 6.365 8.508
angles (deg): 105.98 105.25 100.53
Sites, in units of the cell vectors:
Mg 0.178 0.001 0.162
Mg 0.224 0.674 0.679
Mg 0.270 0.494 0.047
Mg 0.313 0.153 0.586
Mg 0.687 0.847 0.414
Mg 0.730 0.506 0.953
Mg 0.776 0.326 0.321
Mg 0.822 0.999 0.838
Si 0.095 0.704 0.322
Si 0.325 0.430 0.368
Si 0.378 0.097 0.914
Si 0.622 0.903 0.086
Si 0.675 0.570 0.632
Si 0.905 0.296 0.678

Main lines, most intense first (15 to 90 degrees two-theta):
2theta	Rel. int.	index
42.30	100	2 1 -3
32.90	98	0 1 -3
33.41	87	-2 1 1
36.20	69	0 2 1
46.66	69	2 -2 2
44.10	68	0 3 -2
39.75	65	-1 1 3
34.40	57	2 0 0
40.84	53	-2 2 1
37.80	51	0 2 -3

---

Entry 6:
Calculated XRD peak list
Compound: Mg3Si4
Radiation: Cu Kα (weighted mean of Kα1 and Kα2)
Structure: DFT lattice parameters and positions (GGA-PBE)
Lines closer than 0.1° are merged.

Structure:
a b c (Å): 5.660 6.734 7.145
angles (deg): 67.86 89.95 80.18
Sites, in units of the cell vectors:
Mg 0.000 0.000 0.000
Mg 0.109 0.433 0.877
Mg 0.323 0.565 0.170
Mg 0.442 0.254 0.627
Mg 0.580 0.695 0.465
Mg 0.718 0.129 0.309
Si 0.081 0.695 0.456
Si 0.203 0.121 0.352
Si 0.216 0.850 0.709
Si 0.518 0.963 0.028
Si 0.613 0.439 0.898
Si 0.713 0.839 0.760
Si 0.808 0.594 0.128
Si 0.945 0.289 0.563

Main lines, most intense first (15 to 90 degrees two-theta):
2theta	Rel. int.	index
36.74	100	0 2 -1
37.50	88	-2 1 1
37.78	87	0 1 3
38.76	83	2 2 1
42.18	69	0 3 2
44.00	49	2 0 2
45.22	48	2 1 -2
63.73	30	2 4 0
60.99	17	2 -3 0
74.84	16	0 4 5